Calculated X-ray diffraction stick pattern
Compound: LiGa3Se
Radiation: Cu Kα X-rays
Structure: the GGA-PBE geometry in Alexandria

Main lines, in order of falling intensity (2θ = 10–80°):
Position (°2θ)  I_rel
32.8  100
38.1  53
65.5  39
54.9  36
68.8  12

```
data_LiGa3Se
_chemical_formula_sum 'Li1 Ga3 Se1'
_cell_length_a 4.728
_cell_length_b 4.728
_cell_length_c 4.728
_cell_angle_alpha 90.00
_cell_angle_beta 90.00
_cell_angle_gamma 90.00
_symmetry_space_group_name_H-M 'P m -3 m'
_symmetry_Int_Tables_number 221
_symmetry_space_group_name_Hall '-P 4 2 3'
loop_
_atom_site_label
_atom_site_type_symbol
_atom_site_fract_x
_atom_site_fract_y
_atom_site_fract_z
_atom_site_occupancy
Li1 Li 0.000 0.000 0.000 1
Ga1 Ga 0.000 0.000 0.500 1
Se1 Se 0.500 0.500 0.500 1
```


Calculated X-ray diffraction stick pattern
Compound: V3FeSe6
Radiation: Cu Kα X-rays
Structure: the GGA-PBE geometry in Alexandria

Main lines, in order of falling intensity (2θ = 10–80°):
Position (°2θ)  I_rel
29.6  100
38.4  98
38.6  96
46.1  69
55.5  38
45.7  32
29.5  32
24.1  31
64.4  28
20.7  25

```
data_V3FeSe6
_chemical_formula_sum 'V18 Fe6 Se36'
_cell_length_a 10.4236
_cell_length_b 10.4236
_cell_length_c 12.8790
_cell_angle_alpha 90.00
_cell_angle_beta 90.00
_cell_angle_gamma 120.00
_symmetry_space_group_name_H-M 'R -3'
_symmetry_Int_Tables_number 148
_symmetry_space_group_name_Hall '-R 3'
loop_
_atom_site_label
_atom_site_type_symbol
_atom_site_fract_x
_atom_site_fract_y
_atom_site_fract_z
_atom_site_occupancy
V1 V 0.0523 0.4436 0.3656 1
Fe1 Fe 0.0000 0.0000 0.0000 1
Fe2 Fe 0.0000 0.0000 0.5000 1
Se1 Se 0.0197 0.2085 0.8913 1
Se2 Se 0.0308 0.1875 0.3785 1
```


Calculated X-ray diffraction stick pattern
Compound: Pu4Sb8Ru3
Radiation: Cu Kα X-rays
Structure: the GGA-PBE geometry in Alexandria

Main lines, in order of falling intensity (2θ = 10–80°):
Position (°2θ)  I_rel
34.5  100
40.9  44
35.1  29
70.4  25
22.2  25
55.0  17
52.9  15
59.2  15
68.9  14
57.2  13

```
data_Pu4Sb8Ru3
_chemical_formula_sum 'Pu4 Sb8 Ru3'
_cell_length_a 4.413
_cell_length_b 4.413
_cell_length_c 18.833
_cell_angle_alpha 90.00
_cell_angle_beta 90.00
_cell_angle_gamma 90.00
_symmetry_space_group_name_H-M 'P -4 m 2'
_symmetry_Int_Tables_number 115
_symmetry_space_group_name_Hall 'P -4 -2'
loop_
_atom_site_label
_atom_site_type_symbol
_atom_site_fract_x
_atom_site_fract_y
_atom_site_fract_z
_atom_site_occupancy
Pu1 Pu 0.000 0.500 0.116 1
Pu2 Pu 0.000 0.500 0.624 1
Sb1 Sb 0.000 0.000 0.245 1
Sb2 Sb 0.000 0.500 0.421 1
Sb3 Sb 0.000 0.500 0.927 1
Sb4 Sb 0.500 0.500 0.246 1
Ru1 Ru 0.000 0.000 0.000 1
Ru2 Ru 0.000 0.000 0.500 1
Ru3 Ru 0.500 0.500 0.500 1
```